[1]
Starting from a cell relaxed with GGA-PBE, the XRD peak list of Nd11Dy9Ho4 was computed for Cu Kα (weighted mean of Kα1 and Kα2).

Top 10 peaks for 10 to 90 degrees two-theta, by intensity:
32.27 deg, 2.774 Å, intensity 100, hkl 4 0 1
29.56 deg, 3.022 Å, intensity 98, hkl 4 6 0
32.12 deg, 2.787 Å, intensity 82, hkl 0 6 1
30.87 deg, 2.896 Å, intensity 31, hkl 3 3 1
29.97 deg, 2.982 Å, intensity 30, hkl 2 4 1
58.99 deg, 1.566 Å, intensity 28, hkl 4 6 2
31.68 deg, 2.824 Å, intensity 27, hkl 1 9 0
49.81 deg, 1.831 Å, intensity 22, hkl 0 0 2
31.52 deg, 2.839 Å, intensity 16, hkl 6 0 0
33.90 deg, 2.644 Å, intensity 15, hkl 3 5 1

Crystal structure
abc: 17.017 25.774 3.662
angles: 90.00 90.00 90.00
Space group Cmmm (No. 65)
Inequivalent atoms, fractional coordinates:
Nd (0.000, 0.000, 0.000) (multiplicity 2)
Nd (0.000, 0.160, 0.000) (multiplicity 4)
Nd (0.000, 0.369, 0.000) (multiplicity 4)
Nd (0.207, 0.500, 0.000) (multiplicity 4)
Nd (0.224, 0.181, 0.000) (multiplicity 8)
Dy (0.000, 0.500, 0.500) (multiplicity 2)
Dy (0.102, 0.268, 0.500) (multiplicity 8)
Dy (0.141, 0.073, 0.500) (multiplicity 8)
Ho (0.157, 0.398, 0.500) (multiplicity 8)

=====

[2]
Starting from a cell relaxed with GGA-PBE, the XRD peak list of Nd4Dy3Ho2 was computed for Cu Kα (weighted mean of Kα1 and Kα2).

Top 10 peaks for 10 to 90 degrees two-theta, by intensity:
31.53 deg, 2.838 Å, intensity 100, hkl 3 3 0
31.12 deg, 2.874 Å, intensity 99, hkl 2 0 2
44.89 deg, 2.019 Å, intensity 34, hkl 2 6 2
55.88 deg, 1.645 Å, intensity 34, hkl 5 3 2
61.74 deg, 1.502 Å, intensity 29, hkl 3 3 4
56.14 deg, 1.638 Å, intensity 17, hkl 6 0 0
74.59 deg, 1.272 Å, intensity 13, hkl 5 9 2
79.73 deg, 1.203 Å, intensity 12, hkl 6 0 4
65.82 deg, 1.419 Å, intensity 10, hkl 6 6 0
51.61 deg, 1.771 Å, intensity 9, hkl 0 0 4

Crystal structure
abc: 9.836 17.017 7.084
angles: 90.00 90.00 90.00
Space group Cccm (No. 66)
Inequivalent atoms, fractional coordinates:
Nd (0.151, 0.172, 0.000) (multiplicity 8)
Nd (0.165, 0.486, 0.000) (multiplicity 8)
Dy (0.000, 0.000, 0.250) (multiplicity 4)
Dy (0.000, 0.329, 0.250) (multiplicity 8)
Ho (0.184, 0.161, 0.500) (multiplicity 8)

=====

[3]
Starting from a cell relaxed with GGA-PBE, the XRD peak list of NdDy4Ho4 was computed for Cu Kα (weighted mean of Kα1 and Kα2).

Top 10 peaks for 10 to 90 degrees two-theta, by intensity:
32.66 deg, 2.742 Å, intensity 100, hkl 1 2 3
32.67 deg, 2.741 Å, intensity 100, hkl 1 0 -3
31.67 deg, 2.825 Å, intensity 48, hkl 2 2 0
28.47 deg, 3.135 Å, intensity 48, hkl 1 -1 3
60.77 deg, 1.524 Å, intensity 45, hkl 3 2 6
57.04 deg, 1.615 Å, intensity 41, hkl 4 1 0
50.42 deg, 1.810 Å, intensity 40, hkl 1 0 6
83.32 deg, 1.160 Å, intensity 28, hkl 2 2 9
61.37 deg, 1.511 Å, intensity 27, hkl 3 -1 6
79.56 deg, 1.205 Å, intensity 16, hkl 5 1 6

Crystal structure
abc: 6.713 8.440 10.857
angles: 89.96 74.33 77.51
Space group P-1 (No. 2)
Inequivalent atoms, fractional coordinates:
Nd (0.221, 0.029, 0.214) (multiplicity 2)
Dy (0.112, 0.638, 0.564) (multiplicity 2)
Dy (0.444, 0.309, 0.009) (multiplicity 2)
Dy (0.445, 0.309, 0.343) (multiplicity 2)
Dy (0.446, 0.305, 0.675) (multiplicity 2)
Ho (0.107, 0.639, 0.232) (multiplicity 2)
Ho (0.111, 0.638, 0.898) (multiplicity 2)
Ho (0.223, 0.028, 0.879) (multiplicity 2)
Ho (0.224, 0.029, 0.547) (multiplicity 2)

=====

[4]
Starting from a cell relaxed with GGA-PBE, the XRD peak list of Nd6DyHo5 was computed for Cu Kα (weighted mean of Kα1 and Kα2).

Top 10 peaks for 10 to 90 degrees two-theta, by intensity:
30.39 deg, 2.941 Å, intensity 100, hkl 1 2 3
50.80 deg, 1.797 Å, intensity 24, hkl 2 4 0
35.02 deg, 2.562 Å, intensity 17, hkl 2 0 0
35.13 deg, 2.554 Å, intensity 17, hkl 0 0 6
35.54 deg, 2.526 Å, intensity 16, hkl 0 4 0
59.97 deg, 1.542 Å, intensity 15, hkl 3 2 3
60.12 deg, 1.539 Å, intensity 14, hkl 1 2 9
60.66 deg, 1.527 Å, intensity 14, hkl 1 6 3
63.23 deg, 1.471 Å, intensity 12, hkl 2 4 6
50.45 deg, 1.809 Å, intensity 12, hkl 2 0 6

Crystal structure
abc: 5.124 10.104 15.325
angles: 90.00 90.00 90.00
Space group Immm (No. 71)
Inequivalent atoms, fractional coordinates:
Nd (0.000, 0.250, 0.000) (multiplicity 4)
Nd (0.000, 0.250, 0.333) (multiplicity 8)
Dy (0.000, 0.000, 0.500) (multiplicity 2)
Ho (0.000, 0.000, 0.167) (multiplicity 4)
Ho (0.000, 0.500, 0.167) (multiplicity 4)
Ho (0.000, 0.500, 0.500) (multiplicity 2)

=====

[5]
Starting from a cell relaxed with GGA-PBE, the XRD peak list of Nd2Dy6Ho3 was computed for Cu Kα (weighted mean of Kα1 and Kα2).

Top 10 peaks for 10 to 90 degrees two-theta, by intensity:
31.05 deg, 2.880 Å, intensity 100, hkl 1 3 1
36.01 deg, 2.494 Å, intensity 51, hkl 2 0 2
51.84 deg, 1.764 Å, intensity 36, hkl 0 6 0
61.63 deg, 1.505 Å, intensity 28, hkl 2 6 -2
61.74 deg, 1.502 Å, intensity 14, hkl 4 0 0
64.74 deg, 1.440 Å, intensity 12, hkl 2 6 2
87.38 deg, 1.116 Å, intensity 11, hkl 4 6 -4
84.71 deg, 1.144 Å, intensity 10, hkl 4 6 0
87.55 deg, 1.114 Å, intensity 6, hkl 5 3 1
84.63 deg, 1.145 Å, intensity 4, hkl 1 9 1

Crystal structure
abc: 6.106 10.590 11.700
angles: 90.00 100.14 90.00
Space group C2/m (No. 12)
Inequivalent atoms, fractional coordinates:
Nd (0.000, 0.167, 0.000) (multiplicity 4)
Dy (0.249, 0.167, 0.747) (multiplicity 8)
Dy (0.249, 0.500, 0.747) (multiplicity 4)
Ho (0.000, 0.000, 0.500) (multiplicity 2)
Ho (0.000, 0.335, 0.500) (multiplicity 4)

=====

[6]
Starting from a cell relaxed with GGA-PBE, the XRD peak list of Nd8Dy3Ho3 was computed for Cu Kα (weighted mean of Kα1 and Kα2).

Top 10 peaks for 10 to 90 degrees two-theta, by intensity:
31.46 deg, 2.843 Å, intensity 100, hkl 2 0 0
33.40 deg, 2.683 Å, intensity 32, hkl 1 0 5
29.41 deg, 3.037 Å, intensity 23, hkl 1 1 4
30.23 deg, 2.957 Å, intensity 19, hkl 0 3 3
56.02 deg, 1.642 Å, intensity 14, hkl 3 3 2
44.19 deg, 2.049 Å, intensity 13, hkl 2 3 3
28.70 deg, 3.110 Å, intensity 12, hkl 1 2 3
61.60 deg, 1.506 Å, intensity 10, hkl 1 6 5
60.40 deg, 1.533 Å, intensity 9, hkl 2 6 0
59.44 deg, 1.555 Å, intensity 8, hkl 2 4 6

Crystal structure
abc: 5.687 10.917 15.214
angles: 90.00 90.00 90.00
Space group Immm (No. 71)
Inequivalent atoms, fractional coordinates:
Nd (0.000, 0.157, 0.224) (multiplicity 8)
Nd (0.000, 0.337, 0.396) (multiplicity 8)
Dy (0.000, 0.000, 0.500) (multiplicity 2)
Dy (0.000, 0.500, 0.180) (multiplicity 4)
Ho (0.000, 0.000, 0.000) (multiplicity 2)
Ho (0.000, 0.302, 0.000) (multiplicity 4)

=====

[7]
Starting from a cell relaxed with GGA-PBE, the XRD peak list of NdDy8Ho2 was computed for Cu Kα (weighted mean of Kα1 and Kα2).

Top 10 peaks for 10 to 90 degrees two-theta, by intensity:
31.70 deg, 2.823 Å, intensity 100, hkl 6 0 -1
31.92 deg, 2.803 Å, intensity 62, hkl 4 2 0
32.17 deg, 2.783 Å, intensity 34, hkl 2 2 1
32.43 deg, 2.760 Å, intensity 33, hkl 0 0 2
33.21 deg, 2.698 Å, intensity 26, hkl 6 0 1
58.00 deg, 1.590 Å, intensity 13, hkl 2 2 3
46.20 deg, 1.965 Å, intensity 13, hkl 8 2 0
63.01 deg, 1.475 Å, intensity 12, hkl 6 4 -1
52.89 deg, 1.731 Å, intensity 12, hkl 0 4 0
56.33 deg, 1.633 Å, intensity 11, hkl 8 2 -2

Crystal structure
abc: 19.114 6.925 5.528
angles: 90.00 92.92 90.00
Space group C2/m (No. 12)
Inequivalent atoms, fractional coordinates:
Nd (0.000, 0.000, 0.000) (multiplicity 2)
Dy (0.047, 0.500, 0.238) (multiplicity 4)
Dy (0.134, 0.267, 0.732) (multiplicity 8)
Dy (0.189, 0.000, 0.233) (multiplicity 4)
Ho (0.216, 0.500, 0.251) (multiplicity 4)

=====

[8]
Starting from a cell relaxed with GGA-PBE, the XRD peak list of NdDy8Ho4 was computed for Cu Kα (weighted mean of Kα1 and Kα2).

Top 10 peaks for 10 to 90 degrees two-theta, by intensity:
31.30 deg, 2.858 Å, intensity 100, hkl 0 2 4
32.87 deg, 2.725 Å, intensity 41, hkl 2 0 5
29.67 deg, 3.011 Å, intensity 30, hkl 0 0 9
39.03 deg, 2.307 Å, intensity 30, hkl 2 0 8
50.13 deg, 1.820 Å, intensity 30, hkl 2 2 0
59.34 deg, 1.557 Å, intensity 22, hkl 2 2 9
28.51 deg, 3.131 Å, intensity 17, hkl 0 2 1
52.64 deg, 1.739 Å, intensity 17, hkl 0 2 13
60.30 deg, 1.535 Å, intensity 14, hkl 4 0 4
82.15 deg, 1.173 Å, intensity 10, hkl 2 4 4

Crystal structure
abc: 7.2787 7.2787 27.1005
angles: 90.00 90.00 120.00
Space group R-3m (No. 166, hexagonal axes)
Inequivalent atoms, fractional coordinates:
Nd (0.0000, 0.0000, 0.0000) (multiplicity 3)
Dy (0.0000, 0.0000, 0.2820) (multiplicity 6)
Dy (0.0368, 0.5184, 0.2678) (multiplicity 18)
Ho (0.0000, 0.0000, 0.5000) (multiplicity 3)
Ho (0.0000, 0.5000, 0.5000) (multiplicity 9)